Starting from DFT lattice parameters and positions (PBE), the powder diffractogram of DyAlGa2 was simulated for a wavelength of 1.5418 Å.

Atomic structure:
```
8
Lattice="4.562 0.000 0.000 0.000 5.449 3.125 0.000 -5.449 3.125" Properties=species:S:1:pos:R:3 pbc="T T T"
Dy 1.140 -3.621 3.125
Dy 3.421 3.621 3.125
Al 1.140 -0.773 4.482
Al 3.421 0.773 4.482
Ga 1.140 -0.794 1.722
Ga 1.140 1.625 3.136
Ga 3.421 0.794 1.722
Ga 3.421 -1.625 3.136
```

Largest 6 diffraction maxima, sorted by position, 10° ≤ 2θ ≤ 90°:
- 2θ 25.5, intensity 60.4
- 2θ 33.0, intensity 25.2
- 2θ 38.5, intensity 49.7
- 2θ 38.6, intensity 100.0
- 2θ 39.5, intensity 32.8
- 2θ 71.0, intensity 24.2